Diffraction record for Hf6Fe16Si7. The powder diffraction line list is computed, not measured: it uses a structure optimized by DFT (GGA-PBE) and Cu Kα X-rays.
Kinematic intensities with the Lorentz-polarization factor, no thermal factor.

Crystal structure
```
Hf6Fe16Si7
1.0
0.000 5.700 5.700
5.700 0.000 5.700
5.700 5.700 0.000
Hf Fe Si
6 16 7
Cartesian
5.700 5.700 2.334
5.700 2.334 5.700
9.066 5.700 5.700
2.334 5.700 5.700
5.700 9.066 5.700
5.700 5.700 9.066
7.080 4.320 4.320
2.001 2.001 2.001
3.699 3.699 2.001
3.699 2.001 3.699
4.320 4.320 4.320
7.080 7.080 4.320
7.080 4.320 7.080
2.001 3.699 3.699
9.399 7.701 7.701
4.320 7.080 4.320
4.320 4.320 7.080
7.080 7.080 7.080
7.701 9.399 7.701
7.701 7.701 9.399
9.399 9.399 9.399
4.320 7.080 7.080
2.850 2.850 0.000
2.850 0.000 2.850
5.700 2.850 2.850
0.000 2.850 2.850
2.850 5.700 2.850
2.850 2.850 5.700
5.700 5.700 5.700
```

Top 10 peaks for 15° ≤ 2θ ≤ 90°, by intensity:
two_theta	I_rel
41.14	100
44.98	67
27.10	59
38.69	31
70.03	26
34.29	25
67.22	20
88.77	19
57.75	19
47.88	19

---

Diffraction record for HoBr3O18. The powder diffraction line list is computed, not measured: it uses a structure optimized by DFT (GGA-PBE) and Cu Kα X-rays.
Kinematic intensities with the Lorentz-polarization factor, no thermal factor.

Crystal structure
```
HoBr3O18
1.0
5.581 -11.578 0.000
5.581 11.578 0.000
0.000 0.000 6.611
Ho Br O
2 6 36
Cartesian
5.581 8.078 3.306
5.581 -8.078 0.000
2.769 1.670 1.217
2.769 -1.670 4.523
5.581 2.345 4.479
5.581 -2.345 1.173
8.393 1.670 1.217
8.393 -1.670 4.523
4.480 9.150 1.491
1.924 3.207 1.067
5.581 10.330 3.604
5.581 9.513 0.827
1.601 0.644 1.845
4.090 5.764 3.990
4.477 6.499 1.463
4.010 4.832 4.791
1.601 -0.644 5.150
6.682 9.150 1.491
5.581 6.123 0.835
3.887 1.862 2.421
1.924 -3.207 4.373
6.685 6.499 1.463
7.072 5.764 3.990
5.581 2.309 6.195
3.887 -1.862 5.726
7.152 4.832 4.791
4.010 -4.832 1.485
7.274 1.862 2.421
5.581 -2.309 2.890
4.090 -5.764 0.684
4.477 -6.499 4.769
9.237 3.207 1.067
7.274 -1.862 5.726
5.581 -6.123 4.140
4.480 -9.150 4.797
9.560 0.644 1.845
7.152 -4.832 1.485
6.685 -6.499 4.769
7.072 -5.764 0.684
9.560 -0.644 5.150
5.581 -9.513 4.132
5.581 -10.330 0.299
9.237 -3.207 4.373
6.682 -9.150 4.797
```

Top 10 peaks for 15° ≤ 2θ ≤ 90°, by intensity:
two_theta	I_rel
22.20	100
16.04	70
25.95	56
35.76	55
15.43	43
44.92	35
15.30	35
33.77	29
20.39	27
37.55	26

---

Diffraction record for BiOs3C9O9. The powder diffraction line list is computed, not measured: it uses a structure optimized by DFT (GGA-PBE) and Cu Kα X-rays.
Kinematic intensities with the Lorentz-polarization factor, no thermal factor.

Crystal structure
```
BiOs3C9O9
1.0
8.612 0.000 0.000
4.284 8.675 0.000
3.990 2.324 12.228
Bi Os C O
2 6 18 18
Cartesian
3.276 2.851 5.049
13.611 8.148 7.179
2.681 2.324 2.344
5.009 4.405 3.453
5.215 1.799 2.917
11.672 9.200 9.311
11.878 6.594 8.775
14.206 8.675 9.884
3.782 5.826 3.758
1.496 0.883 2.512
6.998 7.432 9.543
2.681 2.350 0.418
6.138 5.151 4.747
6.011 5.083 1.950
10.495 9.800 10.656
8.828 8.719 3.282
10.265 9.099 8.027
6.622 1.900 4.201
8.059 2.280 8.946
6.392 1.199 1.572
10.876 5.916 10.278
10.749 5.848 7.481
14.206 8.649 11.809
9.889 3.567 2.685
15.391 10.116 9.716
13.105 5.173 8.470
5.136 8.597 2.644
5.243 4.307 8.265
6.489 4.706 11.496
9.764 10.163 11.489
7.842 6.663 9.322
6.869 5.551 5.562
9.459 9.111 7.181
6.625 5.623 1.123
8.439 7.681 3.635
8.448 3.318 8.592
10.262 5.376 11.105
7.428 1.888 5.046
10.018 5.448 6.665
9.045 4.336 2.906
7.123 0.836 0.739
10.398 6.293 0.732
11.644 6.692 3.963
11.751 2.402 9.583
```

Top 10 peaks for 15° ≤ 2θ ≤ 90°, by intensity:
two_theta	I_rel
27.75	100
30.59	93
29.33	87
18.48	78
22.10	69
15.34	66
35.70	66
37.94	61
47.56	55
39.23	54

---

Diffraction record for BeHgO3. The powder diffraction line list is computed, not measured: it uses a structure optimized by DFT (GGA-PBE) and Cu Kα X-rays.
Kinematic intensities with the Lorentz-polarization factor, no thermal factor.

Crystal structure
```
BeHgO3
1.0
3.657 0.000 0.000
0.000 3.657 0.000
0.000 0.000 3.657
Be Hg O
1 1 3
Cartesian
0.000 0.000 0.000
1.828 1.828 1.828
0.000 0.000 1.828
0.000 1.828 0.000
1.828 0.000 0.000
```

Top 10 peaks for 15° ≤ 2θ ≤ 90°, by intensity:
two_theta	I_rel
24.34	100
34.69	97
42.84	59
56.25	45
62.19	38
49.88	30
78.47	23
88.73	21
73.21	19
83.63	18